The following is a calculated X-ray diffraction stick pattern of RbAgGeTe3. It was derived from the PBE geometry in OQMD, using Cu Kα X-rays.
No peak broadening, texture or thermal motion is included.

The 10 most intense peaks (5° ≤ 2θ ≤ 70°), low angle first:
Position (°2θ)  intensity  (hkl)
10.5  60  0 2 0
26.0  38  0 4 2
28.0  43  1 3 0
29.1  100  1 3 1
30.4  68  0 0 4
32.0  27  1 3 2
35.3  48  0 6 2
45.6  26  0 8 2
47.1  25  2 0 0
48.1  42  1 3 5

Cell and atoms:
```
data_RbAgGeTe3
_cell_length_a 3.856
_cell_length_b 16.894
_cell_length_c 11.756
_cell_angle_alpha 90.00
_cell_angle_beta 90.00
_cell_angle_gamma 90.00
_symmetry_space_group_name_H-M 'C m c m'
_symmetry_Int_Tables_number 63
_symmetry_space_group_name_Hall '-C 2c 2'
loop_
_atom_site_label
_atom_site_type_symbol
_atom_site_fract_x
_atom_site_fract_y
_atom_site_fract_z
Rb1 Rb 0.000 0.244 0.250
Ag1 Ag 0.000 0.069 0.750
Ge1 Ge 0.000 0.500 0.000
Te1 Te 0.000 0.125 0.529
Te2 Te 0.000 0.446 0.750
```